[1]
Starting from a crystal structure in OQMD, relaxed with PBE, the XRD peak list of Dy5O was calculated for Cu Kα, 1.54184 Å.
No peak broadening, texture or thermal motion is included.

Cell and atoms:
```
Dy5O
1.0
6.1564 0.0000 0.0000
-3.0782 5.3316 0.0000
0.0000 0.0000 5.9653
Dy O
5 1
Direct
0.0000 0.5000 0.0000
0.3333 0.6667 0.5000
0.5000 0.0000 0.0000
0.5000 0.5000 0.0000
0.6667 0.3333 0.5000
0.0000 0.0000 0.5000
```

Peak list (10 most intense, 5 to 70 degrees two-theta, by intensity)
| Position (°2θ) | I (rel.) |
| --- | --- |
| 36.9 | 1000 |
| 32.7 | 878 |
| 16.6 | 840 |
| 30.0 | 499 |
| 55.0 | 354 |
| 34.5 | 285 |
| 68.6 | 279 |
| 57.9 | 277 |
| 53.8 | 214 |
| 60.1 | 207 |

---

[2]
Starting from a crystal structure in OQMD, relaxed with PBE, the XRD peak list of DyP3O9 was calculated for Cu Kα, 1.54184 Å.
No peak broadening, texture or thermal motion is included.

Cell and atoms:
```
DyP3O9
1.0
6.9939 -3.3295 0.0000
6.9939 3.3295 0.0000
-6.1107 0.0000 7.7899
Dy P O
2 6 18
Direct
0.2270 0.7730 0.5000
0.7730 0.2270 0.0000
0.0502 0.2575 0.8361
0.2575 0.0502 0.3361
0.2672 0.4360 0.6695
0.4360 0.2672 0.1695
0.6575 0.8233 0.2187
0.8233 0.6575 0.7187
0.0027 0.4876 0.6105
0.0947 0.2072 0.2272
0.1610 0.9324 0.3351
0.1899 0.3668 0.0282
0.2072 0.0947 0.7272
0.2609 0.6204 0.6528
0.3668 0.1899 0.5282
0.3947 0.4047 0.3390
0.4047 0.3947 0.8390
0.4876 0.0027 0.1105
0.4886 0.8494 0.2818
0.5838 0.7353 0.5929
0.6204 0.2609 0.1528
0.7353 0.5838 0.0929
0.8392 0.8926 0.3735
0.8494 0.4886 0.7818
0.8926 0.8392 0.8735
0.9324 0.1610 0.8351
```

Peak list (10 most intense, 5 to 70 degrees two-theta, by intensity)
| Position (°2θ) | I (rel.) |
| --- | --- |
| 22.1 | 1000 |
| 16.1 | 553 |
| 35.5 | 361 |
| 18.0 | 295 |
| 23.6 | 283 |
| 30.4 | 236 |
| 25.6 | 196 |
| 31.4 | 194 |
| 24.6 | 191 |
| 37.4 | 151 |

---

[3]
Starting from a crystal structure in OQMD, relaxed with PBE, the XRD peak list of DyPaPO was calculated for Cu Kα, 1.54184 Å.
No peak broadening, texture or thermal motion is included.

Cell and atoms:
```
DyPaPO
1.0
5.4676 0.0000 0.0000
0.0000 4.1313 0.0000
0.0000 0.0000 7.8763
Dy Pa P O
2 2 2 2
Direct
0.2500 0.0000 0.2078
0.7500 0.0000 0.7922
0.2500 0.5000 0.6257
0.7500 0.5000 0.3743
0.2500 0.0000 0.8569
0.7500 0.0000 0.1431
0.2500 0.5000 0.3285
0.7500 0.5000 0.6715
```

Peak list (10 most intense, 5 to 70 degrees two-theta, by intensity)
| Position (°2θ) | I (rel.) |
| --- | --- |
| 29.4 | 1000 |
| 24.3 | 558 |
| 27.9 | 511 |
| 32.8 | 471 |
| 11.2 | 315 |
| 40.7 | 283 |
| 41.2 | 278 |
| 38.0 | 271 |
| 53.2 | 259 |
| 43.8 | 211 |

---

[4]
Starting from a crystal structure in OQMD, relaxed with PBE, the XRD peak list of TbDyP2Pt2O2 was calculated for Cu Kα, 1.54184 Å.
No peak broadening, texture or thermal motion is included.

Cell and atoms:
```
TbDyP2Pt2O2
1.0
4.0834 0.0000 0.0000
0.0000 4.0834 0.0000
0.0000 0.0000 7.7547
Tb Dy P Pt O
1 1 2 2 2
Direct
0.0000 0.0000 0.0000
0.5000 0.5000 0.7343
0.0000 0.0000 0.5318
0.5000 0.5000 0.2018
0.0000 0.5000 0.3670
0.5000 0.0000 0.3670
0.0000 0.5000 0.8656
0.5000 0.0000 0.8656
```

Peak list (10 most intense, 5 to 70 degrees two-theta, by intensity)
| Position (°2θ) | I (rel.) |
| --- | --- |
| 33.1 | 1000 |
| 31.8 | 542 |
| 38.9 | 521 |
| 44.4 | 497 |
| 57.2 | 427 |
| 11.4 | 290 |
| 22.9 | 283 |
| 24.6 | 243 |
| 34.7 | 231 |
| 57.5 | 229 |

---

[5]
Starting from a crystal structure in OQMD, relaxed with PBE, the XRD peak list of Dy2PdO4 was calculated for Cu Kα, 1.54184 Å.
No peak broadening, texture or thermal motion is included.

Cell and atoms:
```
Dy2PdO4
1.0
7.8504 0.0000 0.0000
0.0000 7.8504 0.0000
0.0000 0.0000 6.2131
Dy Pd O
8 4 16
Direct
0.0696 0.5696 0.2500
0.0696 0.9304 0.7500
0.4304 0.5696 0.7500
0.4304 0.9304 0.2500
0.5696 0.0696 0.7500
0.5696 0.4304 0.2500
0.9304 0.0696 0.2500
0.9304 0.4304 0.7500
0.2500 0.2500 0.0612
0.2500 0.2500 0.5612
0.7500 0.7500 0.4388
0.7500 0.7500 0.9388
0.0023 0.6791 0.9206
0.0023 0.8209 0.4206
0.1791 0.5023 0.5794
0.1791 0.9977 0.0794
0.3209 0.5023 0.0794
0.3209 0.9977 0.5794
0.4977 0.6791 0.4206
0.4977 0.8209 0.9206
0.5023 0.1791 0.0794
0.5023 0.3209 0.5794
0.6791 0.0023 0.4206
0.6791 0.4977 0.9206
0.8209 0.0023 0.9206
0.8209 0.4977 0.4206
0.9977 0.1791 0.5794
0.9977 0.3209 0.0794
```

Peak list (10 most intense, 5 to 70 degrees two-theta, by intensity)
| Position (°2θ) | I (rel.) |
| --- | --- |
| 29.2 | 1000 |
| 36.9 | 470 |
| 50.1 | 461 |
| 36.2 | 376 |
| 51.2 | 314 |
| 58.0 | 236 |
| 32.3 | 172 |
| 66.7 | 167 |
| 33.0 | 151 |
| 22.7 | 128 |

---

[6]
Starting from a crystal structure in OQMD, relaxed with PBE, the XRD peak list of Dy2PdO4 was calculated for Cu Kα, 1.54184 Å.
No peak broadening, texture or thermal motion is included.

Cell and atoms:
```
Dy2PdO4
1.0
5.5510 0.0000 0.0000
0.0000 5.5746 0.0000
0.0000 0.0000 11.8482
Dy Pd O
8 4 16
Direct
0.0086 0.0378 0.1588
0.0086 0.4622 0.6588
0.4914 0.5378 0.1588
0.4914 0.9622 0.6588
0.5086 0.0378 0.3412
0.5086 0.4622 0.8412
0.9914 0.5378 0.3412
0.9914 0.9622 0.8412
0.0000 0.0000 0.5000
0.0000 0.5000 0.0000
0.5000 0.0000 0.0000
0.5000 0.5000 0.5000
0.1781 0.6790 0.5098
0.1781 0.8210 0.0098
0.2413 0.2114 0.7560
0.2413 0.2886 0.2560
0.2587 0.7114 0.7560
0.2587 0.7886 0.2560
0.3219 0.1790 0.5098
0.3219 0.3210 0.0098
0.6781 0.6790 0.9902
0.6781 0.8210 0.4902
0.7413 0.2114 0.7440
0.7413 0.2886 0.2440
0.7587 0.7114 0.7440
0.7587 0.7886 0.2440
0.8219 0.1790 0.9902
0.8219 0.3210 0.4902
```

Peak list (10 most intense, 5 to 70 degrees two-theta, by intensity)
| Position (°2θ) | I (rel.) |
| --- | --- |
| 32.1 | 1000 |
| 57.2 | 287 |
| 57.4 | 174 |
| 32.3 | 173 |
| 46.2 | 171 |
| 67.2 | 95 |
| 46.0 | 80 |
| 23.8 | 46 |
| 54.3 | 42 |
| 27.2 | 34 |

---

[7]
Starting from a crystal structure in OQMD, relaxed with PBE, the XRD peak list of Pr3DyO6 was calculated for Cu Kα, 1.54184 Å.
No peak broadening, texture or thermal motion is included.

Cell and atoms:
```
Pr3DyO6
1.0
5.0051 2.8897 3.8906
-5.0051 2.8897 3.8906
0.0000 -5.7794 3.8906
Pr Dy O
6 2 12
Direct
0.0567 0.5635 0.7520
0.2480 0.9433 0.4365
0.4365 0.2480 0.9433
0.5635 0.7520 0.0567
0.7520 0.0567 0.5635
0.9433 0.4365 0.2480
0.0000 0.0000 0.0000
0.5000 0.5000 0.5000
0.0332 0.9034 0.6911
0.0966 0.3089 0.9668
0.1919 0.5900 0.4340
0.3089 0.9668 0.0966
0.4100 0.5660 0.8081
0.4340 0.1919 0.5900
0.5660 0.8081 0.4100
0.5900 0.4340 0.1919
0.6911 0.0332 0.9034
0.8081 0.4100 0.5660
0.9034 0.6911 0.0332
0.9668 0.0966 0.3089
```

Peak list (10 most intense, 5 to 70 degrees two-theta, by intensity)
| Position (°2θ) | I (rel.) |
| --- | --- |
| 28.3 | 1000 |
| 31.3 | 913 |
| 25.6 | 463 |
| 29.1 | 454 |
| 48.1 | 415 |
| 41.4 | 369 |
| 22.9 | 368 |
| 50.3 | 269 |
| 30.9 | 235 |
| 40.6 | 226 |

---

[8]
Starting from a crystal structure in OQMD, relaxed with PBE, the XRD peak list of PrDySO2 was calculated for Cu Kα, 1.54184 Å.
No peak broadening, texture or thermal motion is included.

Cell and atoms:
```
PrDySO2
1.0
3.9038 0.0000 0.0000
-1.9519 3.3808 0.0000
0.0000 0.0000 6.7237
Pr Dy S O
1 1 1 2
Direct
0.0000 0.0000 0.0000
0.6667 0.3333 0.4389
0.3333 0.6667 0.7128
0.0000 0.0000 0.3605
0.6667 0.3333 0.1020
```

Peak list (10 most intense, 5 to 70 degrees two-theta, by intensity)
| Position (°2θ) | I (rel.) |
| --- | --- |
| 29.6 | 1000 |
| 46.5 | 313 |
| 37.7 | 301 |
| 48.7 | 247 |
| 26.5 | 221 |
| 54.3 | 217 |
| 26.4 | 201 |
| 56.1 | 169 |
| 63.2 | 87 |
| 69.7 | 83 |